Calculated X-ray diffraction stick pattern
Compound: LiAl2H2O4
Radiation: Cu Kα, 1.54184 Å
Structure: a DFT-relaxed cell (GGA-PBE, the Materials Project)

Principal peaks in the range 15 to 90 degrees two-theta, in order of rising 2θ:
d_spacing, intensity
3.643, 61
3.016, 40
2.495, 26
2.086, 100
1.876, 31
1.821, 23
1.732, 15
1.694, 22
1.460, 21
1.395, 35

Structural model:
a = 7.963 Å, b = 7.963 Å, c = 3.752 Å
α = 103.53°, β = 103.53°, γ = 20.73°
Positions (direct):
Li  0.000  0.000  0.000
Al  0.196  0.196  0.984
Al  0.806  0.806  0.594
H  0.430  0.430  0.499
H  0.573  0.573  0.645
O  0.220  0.220  0.507
O  0.391  0.391  0.684
O  0.611  0.611  0.906
O  0.783  0.783  0.070